This entry pairs a crystal structure of NaPuAg2F6 with its computed XRD peak list. Radiation: Cu Kα (λ = 1.5418 Å). Structure: a cell relaxed with PBE.

Cell and atoms:
```
data_NaPuAg2F6
_cell_length_a 10.491
_cell_length_b 6.238
_cell_length_c 6.132
_cell_angle_alpha 90.00
_cell_angle_beta 124.15
_cell_angle_gamma 90.00
_symmetry_space_group_name_H-M 'C 1 2/m 1'
_symmetry_Int_Tables_number 12
_symmetry_space_group_name_Hall '-C 2y'
loop_
_atom_site_label
_atom_site_type_symbol
_atom_site_fract_x
_atom_site_fract_y
_atom_site_fract_z
_atom_site_occupancy
Na1 Na 0.000 0.000 0.000 1
Pu1 Pu 0.000 0.500 0.500 1
Ag1 Ag 0.246 0.000 0.775 1
F1 F 0.077 0.256 0.827 1
F2 F 0.243 0.500 0.598 1
```

Most intense lines, 10 to 80 degrees two-theta, by intensity:
2θ/deg  intensity
28.7  100.0
29.3  63.1
17.5  58.9
41.3  35.0
17.9  33.5
51.1  28.9
33.9  22.7
29.1  22.2

This entry pairs a crystal structure of RbNa4Ag3F12 with its computed XRD peak list. Radiation: Cu Kα (λ = 1.5418 Å). Structure: a cell relaxed with PBE.

Cell and atoms:
```
data_RbNa4Ag3F12
_cell_length_a 8.480
_cell_length_b 8.480
_cell_length_c 8.480
_cell_angle_alpha 90.00
_cell_angle_beta 90.00
_cell_angle_gamma 90.00
_symmetry_space_group_name_H-M 'I m -3'
_symmetry_Int_Tables_number 204
_symmetry_space_group_name_Hall '-I 2 2 3'
loop_
_atom_site_label
_atom_site_type_symbol
_atom_site_fract_x
_atom_site_fract_y
_atom_site_fract_z
_atom_site_occupancy
Rb1 Rb 0.000 0.000 0.000 1
Na1 Na 0.250 0.250 0.250 1
Ag1 Ag 0.000 0.000 0.500 1
F1 F 0.000 0.167 0.323 1
```

Most intense lines, 10 to 80 degrees two-theta, by intensity:
2θ/deg  intensity
29.8  100.0
52.9  59.4
21.0  57.1
36.7  28.8
42.6  25.7
70.2  19.3
48.0  18.6
66.1  18.2

This entry pairs a crystal structure of NaAg2SnF8 with its computed XRD peak list. Radiation: Cu Kα (λ = 1.5418 Å). Structure: a cell relaxed with PBE.

Cell and atoms:
```
data_NaAg2SnF8
_cell_length_a 5.242
_cell_length_b 7.123
_cell_length_c 5.346
_cell_angle_alpha 90.00
_cell_angle_beta 95.34
_cell_angle_gamma 90.00
_symmetry_space_group_name_H-M 'P 1 2/m 1'
_symmetry_Int_Tables_number 10
_symmetry_space_group_name_Hall '-P 2y'
loop_
_atom_site_label
_atom_site_type_symbol
_atom_site_fract_x
_atom_site_fract_y
_atom_site_fract_z
_atom_site_occupancy
Na1 Na 0.000 0.000 0.000 1
Ag1 Ag 0.500 0.246 0.500 1
Sn1 Sn 0.000 0.500 0.000 1
F1 F 0.181 0.294 0.835 1
F2 F 0.282 0.500 0.295 1
F3 F 0.309 0.000 0.317 1
```

Most intense lines, 10 to 80 degrees two-theta, by intensity:
2θ/deg  intensity
22.7  100.0
25.0  74.0
30.4  59.1
30.2  55.8
44.7  36.6
45.1  33.5
12.4  29.8
51.3  28.4

This entry pairs a crystal structure of Na2TaAgF6 with its computed XRD peak list. Radiation: Cu Kα (λ = 1.5418 Å). Structure: a cell relaxed with PBE.

Cell and atoms:
```
data_Na2TaAgF6
_cell_length_a 9.846
_cell_length_b 9.846
_cell_length_c 9.846
_cell_angle_alpha 90.00
_cell_angle_beta 90.00
_cell_angle_gamma 90.00
_symmetry_space_group_name_H-M 'F m -3 m'
_symmetry_Int_Tables_number 225
_symmetry_space_group_name_Hall '-F 4 2 3'
loop_
_atom_site_label
_atom_site_type_symbol
_atom_site_fract_x
_atom_site_fract_y
_atom_site_fract_z
_atom_site_occupancy
Na1 Na 0.250 0.250 0.250 1
Ta1 Ta 0.000 0.000 0.000 1
Ag1 Ag 0.000 0.000 0.500 1
F1 F 0.000 0.000 0.196 1
```

Most intense lines, 10 to 80 degrees two-theta, by intensity:
2θ/deg  intensity
25.6  100.0
18.0  98.0
41.0  37.9
45.1  35.9
36.5  35.7
59.4  24.3
15.6  24.1
71.7  23.4

This entry pairs a crystal structure of Na2Tl2AgF7 with its computed XRD peak list. Radiation: Cu Kα (λ = 1.5418 Å). Structure: a cell relaxed with PBE.

Cell and atoms:
```
data_Na2Tl2AgF7
_cell_length_a 6.035
_cell_length_b 6.204
_cell_length_c 11.048
_cell_angle_alpha 90.00
_cell_angle_beta 103.88
_cell_angle_gamma 90.00
_symmetry_space_group_name_H-M 'C 1 2/m 1'
_symmetry_Int_Tables_number 12
_symmetry_space_group_name_Hall '-C 2y'
loop_
_atom_site_label
_atom_site_type_symbol
_atom_site_fract_x
_atom_site_fract_y
_atom_site_fract_z
_atom_site_occupancy
Na1 Na 0.053 0.000 0.200 1
Tl1 Tl 0.089 0.500 0.348 1
Ag1 Ag 0.000 0.500 0.000 1
F1 F 0.000 0.000 0.000 1
F2 F 0.193 0.236 0.760 1
F3 F 0.240 0.500 0.556 1
```

Most intense lines, 10 to 80 degrees two-theta, by intensity:
2θ/deg  intensity
20.9  100.0
29.7  83.9
28.8  46.0
38.4  44.0
24.9  43.7
23.8  36.2
35.5  33.5
42.9  28.3

This entry pairs a crystal structure of Na4TlAg3F12 with its computed XRD peak list. Radiation: Cu Kα (λ = 1.5418 Å). Structure: a cell relaxed with PBE.

Cell and atoms:
```
data_Na4TlAg3F12
_cell_length_a 8.481
_cell_length_b 8.481
_cell_length_c 8.481
_cell_angle_alpha 90.00
_cell_angle_beta 90.00
_cell_angle_gamma 90.00
_symmetry_space_group_name_H-M 'I m -3'
_symmetry_Int_Tables_number 204
_symmetry_space_group_name_Hall '-I 2 2 3'
loop_
_atom_site_label
_atom_site_type_symbol
_atom_site_fract_x
_atom_site_fract_y
_atom_site_fract_z
_atom_site_occupancy
Na1 Na 0.250 0.250 0.250 1
Tl1 Tl 0.000 0.000 0.000 1
Ag1 Ag 0.000 0.000 0.500 1
F1 F 0.000 0.168 0.323 1
```

Most intense lines, 10 to 80 degrees two-theta, by intensity:
2θ/deg  intensity
29.8  100.0
20.9  67.0
52.9  56.2
36.7  30.7
42.6  24.5
48.0  24.5
66.1  20.0
70.2  19.3